# Te2PdPb2Cl2O6
Computed X-ray diffraction stick pattern, Cu Kα, 1.54184 Å. Input: a cell relaxed with PBE.
Intensities are scaled so that the largest is 100.

Cell and atoms:
```
data_Te2PdPb2Cl2O6
_cell_length_a 8.3176
_cell_length_b 5.5544
_cell_length_c 13.3047
_cell_angle_alpha 90.00
_cell_angle_beta 123.95
_cell_angle_gamma 90.00
_symmetry_space_group_name_H-M 'P 1 21/c 1'
_symmetry_Int_Tables_number 14
_symmetry_space_group_name_Hall '-P 2ybc'
loop_
_atom_site_label
_atom_site_type_symbol
_atom_site_fract_x
_atom_site_fract_y
_atom_site_fract_z
Te1 Te 0.2217 0.0141 0.4914
Pd1 Pd 0.5000 0.0000 0.0000
Pb1 Pb 0.1520 0.0406 0.1971
Cl1 Cl 0.4538 0.5794 0.3147
O1 O 0.0436 0.2481 0.4779
O2 O 0.0676 0.6445 0.8384
O3 O 0.3302 0.2042 0.4219
```

Most intense lines, 2θ from 10° to 90°, low angle first:
| two_theta | I (rel.) | hkl |
| --- | --- | --- |
| 24.59 | 46 | 1 1 1 |
| 25.71 | 45 | 1 1 -3 |
| 27.54 | 100 | 2 1 -1 |
| 27.94 | 26 | 2 0 -4 |
| 29.11 | 44 | 0 1 3 |
| 32.23 | 30 | 0 2 0 |